(1)
This entry pairs a crystal structure of Ba2SrMgWO6 with its computed powder diffraction line list. Radiation: Cu Ka. Structure: the GGA+U geometry in the Materials Project.
Intensities are scaled so that the largest is 100.

Crystal structure
abc: 11.579 6.248 5.630
angles: 90.00 110.64 90.00
Space group C2/m (No. 12)
Asymmetric unit:
Ba (0.216, 0.000, 0.174) x4
Sr (0.000, 0.000, 0.500) x2
Mg (0.000, 0.500, 0.500) x2
W (0.000, 0.500, 0.000) x2
O (0.080, 0.278, 0.810) x8
O (0.147, 0.500, 0.339) x4

Most intense lines, 2θ = 10–90°, most intense first:
hkl 3 1 -1, 2θ = 28.40°, intensity 100; hkl 1 1 1, 2θ = 25.59°, intensity 85; hkl 0 2 0, 2θ = 28.56°, intensity 72; hkl 2 2 -2, 2θ = 43.52°, intensity 36; hkl 3 3 -1, 2θ = 50.52°, intensity 29; hkl 4 2 0, 2θ = 44.25°, intensity 26; hkl 2 0 -2, 2θ = 32.12°, intensity 25; hkl 0 0 1, 2θ = 16.83°, intensity 24; hkl 4 0 0, 2θ = 33.07°, intensity 21; hkl 1 1 2, 2θ = 40.65°, intensity 19

***

(2)
This entry pairs a crystal structure of BaSrMgWO6 with its computed powder diffraction line list. Radiation: Cu Ka. Structure: the GGA+U geometry in the Materials Project.
Intensities are scaled so that the largest is 100.

Crystal structure
abc: 8.136 8.136 8.136
angles: 90.00 90.00 90.00
Space group F-43m (No. 216)
Asymmetric unit:
Ba (0.000, 0.000, 0.000) x4
Sr (0.000, 0.000, 0.500) x4
Mg (0.250, 0.250, 0.250) x4
W (0.250, 0.250, 0.750) x4
O (0.009, 0.250, 0.750) x24

Most intense lines, 2θ = 10–90°, most intense first:
hkl 2 2 0, 2θ = 31.09°, intensity 100; hkl 4 2 2, 2θ = 55.32°, intensity 40; hkl 1 1 1, 2θ = 18.89°, intensity 40; hkl 4 0 0, 2θ = 44.55°, intensity 32; hkl 3 1 1, 2θ = 36.63°, intensity 21; hkl 4 4 0, 2θ = 64.82°, intensity 20; hkl 6 2 0, 2θ = 73.64°, intensity 18; hkl 3 3 1, 2θ = 48.79°, intensity 9; hkl 5 1 1, 2θ = 58.99°, intensity 8; hkl 5 3 1, 2θ = 68.19°, intensity 8

***

(3)
This entry pairs a crystal structure of Ba2Mg2Tl2W3O10 with its computed powder diffraction line list. Radiation: Cu Ka. Structure: the GGA+U geometry in the Materials Project.
Intensities are scaled so that the largest is 100.

Crystal structure
abc: 3.991 4.153 19.425
angles: 84.32 84.39 89.94
Space group P1 (No. 1)
Asymmetric unit:
Ba (0.000, 0.000, 0.000) x1
Ba (0.305, 0.325, 0.363) x1
Mg (0.095, 0.070, 0.776) x1
Mg (0.154, 0.192, 0.585) x1
Tl (0.435, 0.397, 0.124) x1
Tl (0.875, 0.841, 0.239) x1
W (0.567, 0.546, 0.849) x1
W (0.698, 0.734, 0.514) x1
W (0.734, 0.703, 0.681) x1
O (0.080, 0.540, 0.826) x1
O (0.189, 0.713, 0.538) x1
O (0.247, 0.796, 0.686) x1
O (0.375, 0.240, 0.242) x1
O (0.525, 0.545, 0.950) x1
O (0.566, 0.059, 0.827) x1
O (0.671, 0.226, 0.535) x1
O (0.756, 0.813, 0.414) x1
O (0.830, 0.228, 0.680) x1
O (0.930, 0.802, 0.120) x1

Most intense lines, 2θ = 10–90°, most intense first:
hkl 1 -1 0, 2θ = 31.08°, intensity 100; hkl 0 1 -4, 2θ = 29.88°, intensity 29; hkl 1 0 5, 2θ = 30.73°, intensity 28; hkl 2 0 1, 2θ = 45.45°, intensity 25; hkl 0 1 1, 2θ = 21.52°, intensity 25; hkl 0 1 5, 2θ = 30.12°, intensity 25; hkl 0 0 7, 2θ = 32.58°, intensity 24; hkl 1 0 0, 2θ = 22.40°, intensity 24; hkl 1 0 -3, 2θ = 27.55°, intensity 23; hkl 0 2 1, 2θ = 43.59°, intensity 23

***

(4)
This entry pairs a crystal structure of BaMg6VO8 with its computed powder diffraction line list. Radiation: Cu Ka. Structure: the GGA+U geometry in the Materials Project.
Intensities are scaled so that the largest is 100.

Crystal structure
abc: 4.661 4.661 8.855
angles: 90.00 90.00 90.00
Space group P4/mmm (No. 123)
Asymmetric unit:
Ba (0.000, 0.000, 0.000) x1
Mg (0.000, 0.000, 0.500) x1
Mg (0.000, 0.500, 0.267) x4
Mg (0.500, 0.500, 0.500) x1
V (0.500, 0.500, 0.000) x1
O (0.000, 0.000, 0.283) x2
O (0.000, 0.500, 0.000) x2
O (0.000, 0.500, 0.500) x2
O (0.500, 0.500, 0.258) x2

Most intense lines, 2θ = 10–90°, most intense first:
hkl 2 0 0, 2θ = 38.63°, intensity 100; hkl 1 1 2, 2θ = 33.91°, intensity 54; hkl 2 0 4, 2θ = 57.41°, intensity 51; hkl 0 0 4, 2θ = 40.76°, intensity 39; hkl 1 1 1, 2θ = 28.91°, intensity 36; hkl 2 2 0, 2θ = 55.78°, intensity 31; hkl 2 2 4, 2θ = 71.35°, intensity 25; hkl 0 0 2, 2θ = 20.06°, intensity 23; hkl 1 0 1, 2θ = 21.55°, intensity 23; hkl 1 1 0, 2θ = 27.05°, intensity 20

***

(5)
This entry pairs a crystal structure of BaMgV4O8 with its computed powder diffraction line list. Radiation: Cu Ka. Structure: the GGA+U geometry in the Materials Project.
Intensities are scaled so that the largest is 100.

Crystal structure
abc: 5.4729 5.4729 7.4206
angles: 90.00 90.00 120.00
Space group P-31m (No. 162)
Asymmetric unit:
Ba (0.0000, 0.0000, 0.0000) x1
Mg (0.0000, 0.0000, 0.5000) x1
V (0.3333, 0.6667, 0.2562) x4
O (0.0000, 0.3155, 0.3237) x6
O (0.3333, 0.6667, 0.0000) x2

Most intense lines, 2θ = 10–90°, most intense first:
hkl 1 0 2, 2θ = 30.60°, intensity 100; hkl 1 1 0, 2θ = 32.73°, intensity 88; hkl 2 -1 4, 2θ = 60.27°, intensity 38; hkl 2 -1 1, 2θ = 34.95°, intensity 37; hkl 2 0 2, 2θ = 45.41°, intensity 36; hkl 2 1 2, 2θ = 57.09°, intensity 34; hkl 1 0 1, 2θ = 22.26°, intensity 30; hkl 3 0 0, 2θ = 58.41°, intensity 28; hkl 0 0 1, 2θ = 11.93°, intensity 19; hkl 4 -1 2, 2θ = 76.95°, intensity 13

***

(6)
This entry pairs a crystal structure of BaMg6VO8 with its computed powder diffraction line list. Radiation: Cu Ka. Structure: the GGA+U geometry in the Materials Project.
Intensities are scaled so that the largest is 100.

Crystal structure
abc: 4.643 4.643 9.007
angles: 90.00 90.00 90.00
Space group P4/mmm (No. 123)
Asymmetric unit:
Ba (0.000, 0.000, 0.000) x1
Mg (0.000, 0.500, 0.265) x4
Mg (0.500, 0.500, 0.000) x1
Mg (0.500, 0.500, 0.500) x1
V (0.000, 0.000, 0.500) x1
O (0.000, 0.000, 0.275) x2
O (0.000, 0.500, 0.000) x2
O (0.000, 0.500, 0.500) x2
O (0.500, 0.500, 0.255) x2

Most intense lines, 2θ = 10–90°, most intense first:
hkl 2 0 0, 2θ = 38.79°, intensity 100; hkl 2 0 4, 2θ = 56.98°, intensity 56; hkl 1 1 2, 2θ = 33.79°, intensity 55; hkl 1 0 0, 2θ = 19.12°, intensity 48; hkl 0 0 4, 2θ = 40.05°, intensity 46; hkl 1 0 2, 2θ = 27.59°, intensity 40; hkl 2 2 0, 2θ = 56.02°, intensity 30; hkl 2 2 4, 2θ = 71.07°, intensity 26; hkl 1 0 1, 2θ = 21.53°, intensity 24; hkl 0 0 2, 2θ = 19.71°, intensity 24

***

(7)
This entry pairs a crystal structure of BaMgV2ZnO8 with its computed powder diffraction line list. Radiation: Cu Ka. Structure: the GGA+U geometry in the Materials Project.
Intensities are scaled so that the largest is 100.

Crystal structure
abc: 8.576 12.655 12.652
angles: 90.00 90.00 90.00
Space group Iba2 (No. 45)
Asymmetric unit:
Ba (0.125, 0.250, 0.000) x8
Mg (0.126, 0.082, 0.669) x8
V (0.000, 0.000, 0.421) x4
V (0.000, 0.500, 0.080) x4
V (0.250, 0.170, 0.250) x8
Zn (0.125, 0.418, 0.332) x8
O (0.096, 0.088, 0.503) x8
O (0.097, 0.412, 0.498) x8
O (0.117, 0.092, 0.177) x8
O (0.117, 0.407, 0.824) x8
O (0.133, 0.073, 0.842) x8
O (0.133, 0.427, 0.158) x8
O (0.153, 0.252, 0.338) x8
O (0.154, 0.247, 0.662) x8

Most intense lines, 2θ = 10–90°, most intense first:
hkl 2 3 1, 2θ = 30.56°, intensity 100; hkl 0 2 4, 2θ = 31.62°, intensity 59; hkl 4 2 2, 2θ = 46.96°, intensity 57; hkl 4 6 0, 2θ = 61.70°, intensity 41; hkl 1 4 1, 2θ = 30.95°, intensity 39; hkl 2 1 1, 2θ = 23.00°, intensity 32; hkl 2 2 0, 2θ = 25.09°, intensity 29; hkl 2 3 3, 2θ = 36.70°, intensity 29; hkl 4 0 0, 2θ = 42.10°, intensity 26; hkl 0 6 0, 2θ = 42.88°, intensity 23